This entry pairs a crystal structure of Np2UAs2N2 with its computed XRD peak list. Radiation: Cu Kα (λ = 1.5418 Å). Structure: a cell relaxed with PBE.
No peak broadening, texture or thermal motion is included.

Peak list (10 most intense, 2θ = 5–70°, in order of falling intensity)
| 2θ (°) | d/Å | intensity | index |
| --- | --- | --- | --- |
| 31.4 | 2.848 | 100 | 1 1 1 |
| 36.6 | 2.458 | 67 | 3 1 -2 |
| 30.6 | 2.925 | 62 | 4 0 -1 |
| 25.8 | 3.457 | 29 | 2 0 -2 |
| 51.3 | 1.782 | 25 | 5 1 0 |
| 57.3 | 1.609 | 24 | 4 2 -1 |
| 24.7 | 3.598 | 23 | 1 1 0 |
| 47.2 | 1.927 | 21 | 0 2 0 |
| 39.4 | 2.286 | 18 | 2 0 -3 |
| 28.7 | 3.113 | 17 | 2 0 1 |

Structural model:
```
data_Np2UAs2N2
_chemical_formula_sum 'Np4 U2 As4 N4'
_space_group_name_H-M_alt 'C 1 2/m 1'
_space_group_IT_number 12
_space_group_name_Hall '-C 2y'
_cell_length_a 11.7761
_cell_length_b 3.8533
_cell_length_c 6.9348
_cell_angle_alpha 90.00
_cell_angle_beta 121.41
_cell_angle_gamma 90.00
loop_
_atom_site_label
_atom_site_type_symbol
_atom_site_fract_x
_atom_site_fract_y
_atom_site_fract_z
_atom_site_occupancy
Np1 Np 0.1855 0.0000 0.2372 1
U1 U 0.0000 0.0000 0.5000 1
As1 As 0.0676 0.5000 0.8454 1
N1 N 0.1983 0.0000 0.5863 1
```

---

This entry pairs a crystal structure of AsPtNO2 with its computed XRD peak list. Radiation: Cu Kα (λ = 1.5418 Å). Structure: a cell relaxed with PBE.
No peak broadening, texture or thermal motion is included.

Peak list (10 most intense, 2θ = 5–70°, in order of falling intensity)
| 2θ (°) | d/Å | intensity | index |
| --- | --- | --- | --- |
| 32.8 | 2.730 | 100 | 1 0 1 |
| 34.9 | 2.568 | 40 | 1 1 0 |
| 61.3 | 1.512 | 35 | 2 1 1 |
| 50.2 | 1.816 | 22 | 2 0 0 |
| 41.4 | 2.182 | 21 | 1 1 1 |
| 57.2 | 1.611 | 20 | 1 1 2 |
| 43.7 | 2.070 | 17 | 0 0 2 |
| 68.8 | 1.365 | 17 | 2 0 2 |
| 24.5 | 3.632 | 15 | 1 0 0 |
| 21.5 | 4.139 | 9 | 0 0 1 |

Structural model:
```
data_AsPtNO2
_chemical_formula_sum 'As1 Pt1 N1 O2'
_space_group_name_H-M_alt 'P 4/m m m'
_space_group_IT_number 123
_space_group_name_Hall '-P 4 2'
_cell_length_a 3.6321
_cell_length_b 3.6321
_cell_length_c 4.1392
_cell_angle_alpha 90.00
_cell_angle_beta 90.00
_cell_angle_gamma 90.00
loop_
_atom_site_label
_atom_site_type_symbol
_atom_site_fract_x
_atom_site_fract_y
_atom_site_fract_z
_atom_site_occupancy
As1 As 0.0000 0.0000 0.0000 1
Pt1 Pt 0.5000 0.5000 0.5000 1
N1 N 0.0000 0.0000 0.5000 1
O1 O 0.0000 0.5000 0.0000 1
```

---

This entry pairs a crystal structure of Pa4AsN6 with its computed XRD peak list. Radiation: Cu Kα (λ = 1.5418 Å). Structure: a cell relaxed with PBE.
No peak broadening, texture or thermal motion is included.

Peak list (10 most intense, 2θ = 5–70°, in order of falling intensity)
| 2θ (°) | d/Å | intensity | index |
| --- | --- | --- | --- |
| 30.0 | 2.974 | 100 | 1 0 5 |
| 32.8 | 2.731 | 37 | 1 1 0 |
| 56.8 | 1.620 | 34 | 2 1 5 |
| 47.1 | 1.931 | 19 | 2 0 0 |
| 51.5 | 1.773 | 18 | 1 1 10 |
| 25.8 | 3.459 | 14 | 1 0 3 |
| 45.5 | 1.993 | 13 | 1 1 8 |
| 56.6 | 1.626 | 10 | 1 0 13 |
| 62.5 | 1.487 | 9 | 2 0 10 |
| 38.6 | 2.331 | 8 | 0 0 10 |

Structural model:
```
data_Pa4AsN6
_chemical_formula_sum 'Pa8 As2 N12'
_space_group_name_H-M_alt 'I 4/m m m'
_space_group_IT_number 139
_space_group_name_Hall '-I 4 2'
_cell_length_a 3.8626
_cell_length_b 3.8626
_cell_length_c 23.3076
_cell_angle_alpha 90.00
_cell_angle_beta 90.00
_cell_angle_gamma 90.00
loop_
_atom_site_label
_atom_site_type_symbol
_atom_site_fract_x
_atom_site_fract_y
_atom_site_fract_z
_atom_site_occupancy
Pa1 Pa 0.0000 0.0000 0.0860 1
Pa2 Pa 0.0000 0.0000 0.3053 1
As1 As 0.0000 0.0000 0.5000 1
N1 N 0.0000 0.5000 0.1303 1
N2 N 0.0000 0.5000 0.2500 1
```

---

This entry pairs a crystal structure of Pa6AsN12 with its computed XRD peak list. Radiation: Cu Kα (λ = 1.5418 Å). Structure: a cell relaxed with PBE.
No peak broadening, texture or thermal motion is included.

Peak list (10 most intense, 2θ = 5–70°, in order of falling intensity)
| 2θ (°) | d/Å | intensity | index |
| --- | --- | --- | --- |
| 29.0 | 3.078 | 100 | 3 -1 1 |
| 33.5 | 2.675 | 55 | 1 2 2 |
| 28.6 | 3.125 | 34 | 0 0 3 |
| 47.8 | 1.903 | 29 | 3 -1 4 |
| 57.2 | 1.612 | 28 | 4 1 3 |
| 48.4 | 1.881 | 27 | 4 1 0 |
| 56.6 | 1.625 | 16 | 1 2 5 |
| 57.4 | 1.605 | 13 | 2 4 1 |
| 17.8 | 4.977 | 12 | 1 1 0 |
| 60.1 | 1.539 | 11 | 6 -2 2 |

Structural model:
```
data_Pa6AsN12
_chemical_formula_sum 'Pa18 As3 N36'
_space_group_name_H-M_alt 'R -3'
_space_group_IT_number 148
_space_group_name_Hall '-R 3'
_cell_length_a 9.9549
_cell_length_b 9.9549
_cell_length_c 9.3736
_cell_angle_alpha 90.00
_cell_angle_beta 90.00
_cell_angle_gamma 120.00
loop_
_atom_site_label
_atom_site_type_symbol
_atom_site_fract_x
_atom_site_fract_y
_atom_site_fract_z
_atom_site_occupancy
Pa1 Pa 0.0507 0.7942 0.1586 1
As1 As 0.0000 0.0000 0.5000 1
N1 N 0.0329 0.8051 0.9026 1
N2 N 0.0433 0.8465 0.3946 1
```

---

This entry pairs a crystal structure of PrPaAsN with its computed XRD peak list. Radiation: Cu Kα (λ = 1.5418 Å). Structure: a cell relaxed with PBE.
No peak broadening, texture or thermal motion is included.

Peak list (10 most intense, 2θ = 5–70°, in order of falling intensity)
| 2θ (°) | d/Å | intensity | index |
| --- | --- | --- | --- |
| 30.2 | 2.958 | 100 | 1 0 7 |
| 6.4 | 13.762 | 54 | 0 0 3 |
| 46.0 | 1.974 | 42 | 1 1 0 |
| 27.5 | 3.245 | 29 | 1 0 4 |
| 28.3 | 3.159 | 25 | 0 1 5 |
| 35.5 | 2.527 | 23 | 0 1 11 |
| 40.4 | 2.233 | 23 | 0 1 14 |
| 25.9 | 3.441 | 21 | 0 0 12 |
| 56.0 | 1.642 | 18 | 0 2 7 |
| 53.5 | 1.712 | 18 | 1 1 12 |

Structural model:
```
data_PrPaAsN
_chemical_formula_sum 'Pr6 Pa6 As6 N6'
_space_group_name_H-M_alt 'R -3 m'
_space_group_IT_number 166
_space_group_name_Hall '-R 3 2"'
_cell_length_a 3.9474
_cell_length_b 3.9474
_cell_length_c 41.2865
_cell_angle_alpha 90.00
_cell_angle_beta 90.00
_cell_angle_gamma 120.00
loop_
_atom_site_label
_atom_site_type_symbol
_atom_site_fract_x
_atom_site_fract_y
_atom_site_fract_z
_atom_site_occupancy
Pr1 Pr 0.0000 0.0000 0.2067 1
Pa1 Pa 0.0000 0.0000 0.3683 1
As1 As 0.0000 0.0000 0.0806 1
N1 N 0.0000 0.0000 0.3136 1
```

---

This entry pairs a crystal structure of Pu2PaAs2N2 with its computed XRD peak list. Radiation: Cu Kα (λ = 1.5418 Å). Structure: a cell relaxed with PBE.
No peak broadening, texture or thermal motion is included.

Peak list (10 most intense, 2θ = 5–70°, in order of falling intensity)
| 2θ (°) | d/Å | intensity | index |
| --- | --- | --- | --- |
| 31.1 | 2.878 | 100 | 1 1 1 |
| 36.1 | 2.486 | 65 | 3 1 -2 |
| 29.7 | 3.011 | 61 | 4 0 -1 |
| 25.6 | 3.476 | 27 | 2 0 -2 |
| 50.0 | 1.825 | 27 | 5 1 0 |
| 56.3 | 1.633 | 21 | 4 2 -1 |
| 24.5 | 3.639 | 21 | 1 1 0 |
| 46.7 | 1.944 | 21 | 0 2 0 |
| 39.3 | 2.292 | 19 | 2 0 -3 |
| 32.0 | 2.797 | 16 | 3 1 -1 |

Structural model:
```
data_Pu2PaAs2N2
_chemical_formula_sum 'Pu4 Pa2 As4 N4'
_space_group_name_H-M_alt 'C 1 2/m 1'
_space_group_IT_number 12
_space_group_name_Hall '-C 2y'
_cell_length_a 12.1052
_cell_length_b 3.8879
_cell_length_c 6.9657
_cell_angle_alpha 90.00
_cell_angle_beta 121.39
_cell_angle_gamma 90.00
loop_
_atom_site_label
_atom_site_type_symbol
_atom_site_fract_x
_atom_site_fract_y
_atom_site_fract_z
_atom_site_occupancy
Pu1 Pu 0.1895 0.0000 0.2434 1
Pa1 Pa 0.0000 0.0000 0.5000 1
As1 As 0.0650 0.5000 0.8500 1
N1 N 0.1977 0.0000 0.5852 1
```